(1)
# Er3GaS6
Computed powder diffractogram, CuKα. Input: a DFT-relaxed cell (PBE, the Materials Project).
No peak broadening, texture or thermal motion is included.

Structure:
```
Er3GaS6
1.0
5.3105 -6.6087 0.0000
5.3105 6.6087 0.0000
0.0000 0.0000 6.4289
Er Ga S
6 2 12
Direct
0.0974 0.9026 0.5000
0.2157 0.4143 0.4100
0.4143 0.2157 0.9100
0.5857 0.7843 0.4100
0.7843 0.5857 0.9100
0.9026 0.0974 0.0000
0.2989 0.7011 0.8745
0.7011 0.2989 0.3745
0.0658 0.6017 0.6921
0.1322 0.1931 0.7062
0.1931 0.1322 0.2062
0.2826 0.7174 0.2280
0.3983 0.9342 0.6921
0.4604 0.5396 0.7269
0.5396 0.4604 0.2269
0.6017 0.0658 0.1921
0.7174 0.2826 0.7280
0.8069 0.8678 0.7062
0.8678 0.8069 0.2062
0.9342 0.3983 0.1921
```

Largest 10 diffraction maxima, sorted by position, 2θ = 15–90°:
5.078 Å, intensity 22.1
3.480 Å, intensity 100.0
3.439 Å, intensity 57.5
3.420 Å, intensity 19.0
2.537 Å, intensity 25.3
2.342 Å, intensity 40.1
2.303 Å, intensity 31.7
2.117 Å, intensity 43.3
1.834 Å, intensity 22.3
1.769 Å, intensity 23.9



(2)
# ErTi2Ga4
Computed powder diffractogram, CuKα. Input: a DFT-relaxed cell (PBE, the Materials Project).
No peak broadening, texture or thermal motion is included.

Structure:
```
ErTi2Ga4
1.0
-3.3717 3.3717 2.7276
3.3717 -3.3717 2.7276
3.3717 3.3717 -2.7276
Er Ti Ga
1 2 4
Direct
0.0000 0.0000 0.0000
0.2500 0.7500 0.5000
0.7500 0.2500 0.5000
0.3012 0.3012 0.6025
0.3012 0.6988 0.0000
0.6988 0.3012 0.0000
0.6988 0.6988 0.3975
```

Largest 10 diffraction maxima, sorted by position, 2θ = 15–90°:
2.728 Å, intensity 31.6
2.639 Å, intensity 100.0
2.384 Å, intensity 65.5
2.368 Å, intensity 53.4
2.078 Å, intensity 72.2
1.795 Å, intensity 19.0
1.557 Å, intensity 20.0
1.414 Å, intensity 20.4
1.373 Å, intensity 22.7
1.220 Å, intensity 24.1



(3)
# ErV2Ga4
Computed powder diffractogram, CuKα. Input: a DFT-relaxed cell (PBE, the Materials Project).
No peak broadening, texture or thermal motion is included.

Structure:
```
ErV2Ga4
1.0
-3.3008 3.3008 2.6165
3.3008 -3.3008 2.6165
3.3008 3.3008 -2.6165
Er V Ga
1 2 4
Direct
0.0000 0.0000 0.0000
0.2500 0.7500 0.5000
0.7500 0.2500 0.5000
0.3026 0.3026 0.6052
0.3026 0.6974 0.0000
0.6974 0.3026 0.0000
0.6974 0.6974 0.3948
```

Largest 10 diffraction maxima, sorted by position, 2θ = 15–90°:
2.617 Å, intensity 29.2
2.571 Å, intensity 100.0
2.334 Å, intensity 65.9
2.282 Å, intensity 53.7
2.029 Å, intensity 73.0
1.502 Å, intensity 19.0
1.367 Å, intensity 19.8
1.337 Å, intensity 23.3
1.194 Å, intensity 23.5
1.160 Å, intensity 17.2



What did the third record say?
# ErV2Ga4
Computed powder diffractogram, CuKα. Input: a DFT-relaxed cell (PBE, the Materials Project).
No peak broadening, texture or thermal motion is included.

Structure:
```
ErV2Ga4
1.0
-3.3008 3.3008 2.6165
3.3008 -3.3008 2.6165
3.3008 3.3008 -2.6165
Er V Ga
1 2 4
Direct
0.0000 0.0000 0.0000
0.2500 0.7500 0.5000
0.7500 0.2500 0.5000
0.3026 0.3026 0.6052
0.3026 0.6974 0.0000
0.6974 0.3026 0.0000
0.6974 0.6974 0.3948
```

Largest 10 diffraction maxima, sorted by position, 2θ = 15–90°:
2.617 Å, intensity 29.2
2.571 Å, intensity 100.0
2.334 Å, intensity 65.9
2.282 Å, intensity 53.7
2.029 Å, intensity 73.0
1.502 Å, intensity 19.0
1.367 Å, intensity 19.8
1.337 Å, intensity 23.3
1.194 Å, intensity 23.5
1.160 Å, intensity 17.2